# 1
The following is a theoretical powder X-ray diffraction pattern of Tl2Pt5S6. It was derived from the GGA-PBE geometry in OQMD, using Cu Ka.
Kinematic intensities with the Lorentz-polarization factor, no thermal factor.

Structure:
Lattice parameters (Å, degrees): 7.035 7.079 12.469 90.00 116.18 90.00
Space group P2_1/c (No. 14)
One atom of each set of equivalent atoms:
Tl (0.161, 0.213, 0.045) [4 per cell]
Pt (0.000, 0.189, 0.245) [4 per cell]
Pt (0.500, 0.000, 0.500) [2 per cell]
Pt (0.500, 0.071, 0.767) [4 per cell]
S (0.242, 0.059, 0.836) [4 per cell]
S (0.242, 0.564, 0.807) [4 per cell]
S (0.347, 0.659, 0.113) [4 per cell]

Peak list (10 most intense, 10 to 90 degrees two-theta, most intense first)
- 32.0°, rel. 100, (2 0 -4)
- 28.9°, rel. 81, (1 2 0)
- 38.5°, rel. 66, (1 2 -4)
- 31.7°, rel. 52, (1 2 1)
- 28.5°, rel. 41, (1 1 2)
- 28.3°, rel. 34, (2 0 0)
- 46.5°, rel. 25, (3 2 -2)
- 52.3°, rel. 24, (0 4 1)
- 15.8°, rel. 23, (0 0 2)
- 18.8°, rel. 23, (1 1 0)

---

# 2
The following is a theoretical powder X-ray diffraction pattern of SbPt. It was derived from the GGA-PBE geometry in OQMD, using Cu Ka.
Kinematic intensities with the Lorentz-polarization factor, no thermal factor.

Structure:
Lattice parameters (Å, degrees): 5.537 3.965 7.814 90.00 90.00 90.00
Space group Pmma (No. 51)
One atom of each set of equivalent atoms:
Sb (0.250, 0.000, 0.072) [2 per cell]
Sb (0.250, 0.500, 0.687) [2 per cell]
Pt (0.000, 0.000, 0.500) [2 per cell]
Pt (0.250, 0.500, 0.291) [2 per cell]

Peak list (10 most intense, 10 to 90 degrees two-theta, most intense first)
- 32.2°, rel. 100, (0 1 2)
- 41.4°, rel. 90, (0 1 3)
- 11.3°, rel. 65, (0 0 1)
- 39.7°, rel. 31, (2 1 0)
- 39.9°, rel. 28, (2 0 2)
- 45.8°, rel. 28, (0 2 0)
- 48.0°, rel. 27, (2 0 3)
- 19.6°, rel. 20, (1 0 1)
- 68.5°, rel. 18, (2 2 3)
- 76.9°, rel. 17, (4 1 2)

---

# 3
The following is a theoretical powder X-ray diffraction pattern of SbPt7. It was derived from the GGA-PBE geometry in OQMD, using Cu Ka.
Kinematic intensities with the Lorentz-polarization factor, no thermal factor.

Structure:
Lattice parameters (Å, degrees): 2.866 2.866 42.677 90.00 90.00 90.00
Space group P4/nmm (No. 129, origin choice 2)
One atom of each set of equivalent atoms:
Sb (0.250, 0.250, 0.160) [2 per cell]
Pt (0.250, 0.250, 0.254) [2 per cell]
Pt (0.250, 0.250, 0.343) [2 per cell]
Pt (0.250, 0.250, 0.433) [2 per cell]
Pt (0.250, 0.250, 0.522) [2 per cell]
Pt (0.250, 0.250, 0.612) [2 per cell]
Pt (0.250, 0.250, 0.701) [2 per cell]
Pt (0.250, 0.250, 0.793) [2 per cell]

Peak list (10 most intense, 10 to 90 degrees two-theta, most intense first)
- 39.1°, rel. 100, (1 0 11)
- 44.7°, rel. 46, (1 1 0)
- 78.6°, rel. 27, (2 1 11)
- 40.4°, rel. 23, (1 0 12)
- 66.7°, rel. 20, (1 1 22)
- 46.8°, rel. 14, (0 0 22)
- 65.1°, rel. 12, (2 0 0)
- 84.0°, rel. 11, (2 0 22)
- 81.7°, rel. 10, (1 0 33)
- 37.8°, rel. 8, (1 0 10)

---

# 4
The following is a theoretical powder X-ray diffraction pattern of SbPt17. It was derived from the GGA-PBE geometry in OQMD, using Cu Ka.
Kinematic intensities with the Lorentz-polarization factor, no thermal factor.

Structure:
Lattice parameters (Å, degrees): 5.5519 5.5519 28.4931 90.00 90.00 120.00
Space group P-3m1 (No. 164)
One atom of each set of equivalent atoms:
Sb (0.3333, 0.6667, 0.3332) [2 per cell]
Pt (0.0000, 0.0000, 0.0000) [1 per cell]
Pt (0.0000, 0.0000, 0.2446) [2 per cell]
Pt (0.0000, 0.5000, 0.0000) [3 per cell]
Pt (0.0006, 0.5003, 0.2451) [6 per cell]
Pt (0.1658, 0.3316, 0.6722) [6 per cell]
Pt (0.1665, 0.3330, 0.9186) [6 per cell]
Pt (0.1671, 0.3342, 0.1630) [6 per cell]
Pt (0.3333, 0.6667, 0.0810) [2 per cell]
Pt (0.3333, 0.6667, 0.8376) [2 per cell]

Peak list (10 most intense, 10 to 90 degrees two-theta, most intense first)
- 39.6°, rel. 100, (2 0 4)
- 45.5°, rel. 66, (0 2 8)
- 37.9°, rel. 41, (0 0 12)
- 67.5°, rel. 26, (2 2 0)
- 80.1°, rel. 25, (2 2 12)
- 65.2°, rel. 20, (2 0 16)
- 40.7°, rel. 17, (2 0 5)
- 47.5°, rel. 15, (0 2 9)
- 81.1°, rel. 13, (0 4 4)
- 78.0°, rel. 11, (0 2 20)

---

# 5
The following is a theoretical powder X-ray diffraction pattern of SbPt. It was derived from the GGA-PBE geometry in OQMD, using Cu Ka.
Kinematic intensities with the Lorentz-polarization factor, no thermal factor.

Structure:
Lattice parameters (Å, degrees): 5.532 5.532 5.532 90.00 90.00 90.00
Space group Fm-3m (No. 225)
One atom of each set of equivalent atoms:
Sb (0.000, 0.000, 0.000) [4 per cell]
Pt (0.000, 0.000, 0.500) [4 per cell]

Peak list (9 most intense, 10 to 90 degrees two-theta, most intense first)
- 32.4°, rel. 100, (2 0 0)
- 46.4°, rel. 74, (2 2 0)
- 77.1°, rel. 33, (4 2 0)
- 57.7°, rel. 26, (2 2 2)
- 86.1°, rel. 26, (4 2 2)
- 67.8°, rel. 12, (4 0 0)
- 27.9°, rel. 10, (1 1 1)
- 55.1°, rel. 5, (3 1 1)
- 74.8°, rel. 2, (3 3 1)

---

# 6
The following is a theoretical powder X-ray diffraction pattern of Sb2Pt9. It was derived from the GGA-PBE geometry in OQMD, using Cu Ka.
Kinematic intensities with the Lorentz-polarization factor, no thermal factor.

Structure:
Lattice parameters (Å, degrees): 2.9204 2.9204 33.1986 90.00 90.00 120.00
Space group P-3m1 (No. 164)
One atom of each set of equivalent atoms:
Sb (0.3333, 0.6667, 0.3342) [2 per cell]
Pt (0.0000, 0.0000, 0.0000) [1 per cell]
Pt (0.0000, 0.0000, 0.1981) [2 per cell]
Pt (0.3333, 0.6667, 0.1318) [2 per cell]
Pt (0.3333, 0.6667, 0.7330) [2 per cell]
Pt (0.3333, 0.6667, 0.9340) [2 per cell]

Peak list (10 most intense, 10 to 90 degrees two-theta, most intense first)
- 38.1°, rel. 100, (1 0 5)
- 45.1°, rel. 62, (0 1 10)
- 63.8°, rel. 29, (1 1 0)
- 40.8°, rel. 27, (0 0 15)
- 78.5°, rel. 25, (1 1 15)
- 67.5°, rel. 19, (1 0 20)
- 76.7°, rel. 16, (0 2 5)
- 39.2°, rel. 15, (1 0 6)
- 37.2°, rel. 15, (1 0 4)
- 81.4°, rel. 11, (2 0 10)